1.
Computed powder XRD pattern
Compound: YUS2
Radiation: Cu Ka
Structure: the GGA-PBE geometry in the Materials Project
Peak positions follow from Bragg's law for the DFT cell and can differ from measured ones.

Structural model:
a = 6.899 Å, b = 6.899 Å, c = 6.899 Å
α = 32.35°, β = 32.35°, γ = 32.35°
Fractional coordinates of all 4 atoms:
Y  0.000  0.000  0.000
U  0.500  0.500  0.500
S  0.250  0.250  0.250
S  0.750  0.750  0.750

Largest 6 diffraction maxima, in order of rising 2θ, 2θ = 10–90°:
2theta, intensity
13.56, 29.9
28.32, 59.8
32.52, 100.0
46.00, 37.6
47.30, 34.6
55.47, 23.0

2.
Computed powder XRD pattern
Compound: CeSn2Rh2
Radiation: Cu Ka
Structure: the GGA-PBE geometry in the Materials Project
Peak positions follow from Bragg's law for the DFT cell and can differ from measured ones.

Structural model:
a = 4.517 Å, b = 4.517 Å, c = 10.712 Å
α = 90.00°, β = 90.00°, γ = 90.00°
Fractional coordinates of all 10 atoms:
Ce  0.250  0.250  0.247
Ce  0.750  0.750  0.753
Sn  0.250  0.250  0.872
Sn  0.250  0.750  0.500
Sn  0.750  0.250  0.500
Sn  0.750  0.750  0.128
Rh  0.250  0.250  0.632
Rh  0.250  0.750  0.000
Rh  0.750  0.250  0.000
Rh  0.750  0.750  0.368

Largest 6 diffraction maxima, in order of rising 2θ, 2θ = 10–90°:
2theta, intensity
31.95, 58.9
32.64, 100.0
39.92, 70.4
44.13, 29.7
46.94, 26.0
52.01, 29.9

3.
Computed powder XRD pattern
Compound: Ca5FePb3
Radiation: Cu Ka
Structure: the GGA-PBE geometry in the Materials Project
Peak positions follow from Bragg's law for the DFT cell and can differ from measured ones.

Structural model:
a = 9.600 Å, b = 9.600 Å, c = 6.695 Å
α = 90.00°, β = 90.00°, γ = 120.00°
Fractional coordinates of all 18 atoms:
Ca  0.000  0.271  0.250
Ca  0.000  0.729  0.750
Ca  0.271  0.000  0.250
Ca  0.271  0.271  0.750
Ca  0.333  0.667  0.000
Ca  0.333  0.667  0.500
Ca  0.667  0.333  0.000
Ca  0.667  0.333  0.500
Ca  0.729  0.000  0.750
Ca  0.729  0.729  0.250
Fe  0.000  0.000  0.000
Fe  0.000  0.000  0.500
Pb  0.000  0.383  0.750
Pb  0.000  0.617  0.250
Pb  0.383  0.000  0.750
Pb  0.383  0.383  0.250
Pb  0.617  0.000  0.250
Pb  0.617  0.617  0.750

Largest 6 diffraction maxima, in order of rising 2θ, 2θ = 10–90°:
2theta, intensity
22.80, 100.0
26.63, 28.7
31.45, 58.2
32.30, 66.4
32.61, 67.1
41.42, 40.3

4.
Computed powder XRD pattern
Compound: TmNi5
Radiation: Cu Ka
Structure: the GGA-PBE geometry in the Materials Project
Peak positions follow from Bragg's law for the DFT cell and can differ from measured ones.

Structural model:
a = 4.828 Å, b = 4.828 Å, c = 3.952 Å
α = 90.00°, β = 90.00°, γ = 120.00°
Fractional coordinates of all 6 atoms:
Tm  0.000  0.000  0.000
Ni  0.000  0.500  0.500
Ni  0.333  0.667  0.000
Ni  0.500  0.000  0.500
Ni  0.500  0.500  0.500
Ni  0.667  0.333  0.000

Largest 6 diffraction maxima, in order of rising 2θ, 2θ = 10–90°:
2theta, intensity
31.14, 55.2
37.25, 33.1
43.28, 35.3
43.95, 100.0
45.93, 26.9
71.82, 22.0

5.
Computed powder XRD pattern
Compound: Ba3Sb2Se7
Radiation: Cu Ka
Structure: the GGA-PBE geometry in the Materials Project
Peak positions follow from Bragg's law for the DFT cell and can differ from measured ones.

Structural model:
a = 11.617 Å, b = 11.617 Å, c = 13.880 Å
α = 106.37°, β = 106.37°, γ = 67.65°
Fractional coordinates of all 48 atoms:
Ba  0.094  0.104  0.172
Ba  0.104  0.094  0.672
Ba  0.120  0.615  0.556
Ba  0.385  0.880  0.944
Ba  0.393  0.398  0.825
Ba  0.398  0.393  0.325
Ba  0.602  0.607  0.675
Ba  0.607  0.602  0.175
Ba  0.615  0.120  0.056
Ba  0.880  0.385  0.444
Ba  0.896  0.906  0.328
Ba  0.906  0.896  0.828
Sb  0.191  0.641  0.095
Sb  0.205  0.260  0.991
Sb  0.260  0.205  0.491
Sb  0.359  0.809  0.405
Sb  0.641  0.191  0.595
Sb  0.740  0.795  0.509
Sb  0.795  0.740  0.009
Sb  0.809  0.359  0.905
Se  0.075  0.095  0.914
Se  0.095  0.075  0.414
Se  0.102  0.599  0.888
Se  0.142  0.350  0.638
Se  0.142  0.354  0.360
Se  0.196  0.695  0.369
Se  0.202  0.696  0.817
Se  0.304  0.798  0.683
Se  0.305  0.804  0.131
Se  0.350  0.142  0.138
Se  0.354  0.142  0.860
Se  0.400  0.439  0.089
Se  0.401  0.898  0.612
Se  0.439  0.400  0.589
Se  0.561  0.600  0.411
Se  0.599  0.102  0.388
Se  0.600  0.561  0.911
Se  0.646  0.858  0.140
Se  0.650  0.858  0.862
Se  0.695  0.196  0.869
Se  0.696  0.202  0.317
Se  0.798  0.304  0.183
Se  0.804  0.305  0.631
Se  0.858  0.646  0.640
Se  0.858  0.650  0.362
Se  0.898  0.401  0.112
Se  0.905  0.925  0.586
Se  0.925  0.905  0.086

Largest 6 diffraction maxima, in order of rising 2θ, 2θ = 10–90°:
2theta, intensity
25.68, 84.0
27.59, 94.3
29.34, 50.2
29.52, 55.9
34.04, 48.9
38.04, 100.0

6.
Computed powder XRD pattern
Compound: HfAlNi
Radiation: Cu Ka
Structure: the GGA-PBE geometry in the Materials Project
Peak positions follow from Bragg's law for the DFT cell and can differ from measured ones.

Structural model:
a = 6.795 Å, b = 6.795 Å, c = 3.512 Å
α = 90.00°, β = 90.00°, γ = 120.00°
Fractional coordinates of all 9 atoms:
Hf  0.000  0.591  0.000
Hf  0.409  0.409  0.000
Hf  0.591  0.000  0.000
Al  0.000  0.247  0.500
Al  0.247  0.000  0.500
Al  0.753  0.753  0.500
Ni  0.000  0.000  0.000
Ni  0.333  0.667  0.500
Ni  0.667  0.333  0.500

Largest 6 diffraction maxima, in order of rising 2θ, 2θ = 10–90°:
2theta, intensity
26.23, 46.6
30.38, 31.5
36.81, 100.0
39.98, 79.7
40.56, 30.7
62.78, 34.1

7.
Computed powder XRD pattern
Compound: NaHoBO5
Radiation: Cu Ka
Structure: the GGA-PBE geometry in the Materials Project
Peak positions follow from Bragg's law for the DFT cell and can differ from measured ones.

Structural model:
a = 4.614 Å, b = 6.831 Å, c = 6.324 Å
α = 90.00°, β = 109.89°, γ = 90.00°
Fractional coordinates of all 16 atoms:
Na  0.000  0.000  0.000
Na  0.000  0.500  0.000
Ho  0.354  0.250  0.584
Ho  0.646  0.750  0.416
B  0.405  0.750  0.795
B  0.595  0.250  0.205
O  0.075  0.750  0.742
O  0.103  0.750  0.338
O  0.431  0.250  0.963
O  0.490  0.574  0.695
O  0.490  0.926  0.695
O  0.510  0.074  0.305
O  0.510  0.426  0.305
O  0.569  0.750  0.037
O  0.897  0.250  0.662
O  0.925  0.250  0.258

Largest 6 diffraction maxima, in order of rising 2θ, 2θ = 10–90°:
2theta, intensity
14.90, 100.0
24.30, 57.9
24.62, 81.0
26.09, 63.1
30.17, 60.0
32.88, 91.9

8.
Computed powder XRD pattern
Compound: Mg2Sc3VS8
Radiation: Cu Ka
Structure: the GGA-PBE geometry in the Materials Project
Peak positions follow from Bragg's law for the DFT cell and can differ from measured ones.

Structural model:
a = 7.464 Å, b = 7.464 Å, c = 7.466 Å
α = 119.54°, β = 119.54°, γ = 60.54°
Fractional coordinates of all 14 atoms:
Mg  0.125  0.125  0.375
Mg  0.875  0.875  0.625
Sc  0.000  0.500  0.000
Sc  0.500  0.000  0.000
Sc  0.500  0.500  0.500
V  0.500  0.500  0.000
S  0.258  0.258  0.242
S  0.265  0.265  0.777
S  0.265  0.724  0.235
S  0.276  0.735  0.765
S  0.724  0.265  0.235
S  0.735  0.276  0.765
S  0.735  0.735  0.223
S  0.742  0.742  0.758

Largest 6 diffraction maxima, in order of rising 2θ, 2θ = 10–90°:
2theta, intensity
14.44, 43.6
27.87, 37.4
33.84, 100.0
44.34, 18.2
48.42, 50.2
48.80, 50.1

9.
Computed powder XRD pattern
Compound: MgTiSiO5
Radiation: Cu Ka
Structure: the GGA-PBE geometry in the Materials Project
Peak positions follow from Bragg's law for the DFT cell and can differ from measured ones.

Structural model:
a = 5.314 Å, b = 5.314 Å, c = 7.161 Å
α = 104.95°, β = 104.95°, γ = 104.08°
Fractional coordinates of all 16 atoms:
Mg  0.171  0.829  0.500
Mg  0.829  0.171  0.000
Ti  0.496  0.510  0.748
Ti  0.510  0.496  0.248
Si  0.178  0.831  0.015
Si  0.831  0.178  0.515
O  0.134  0.231  0.676
O  0.177  0.609  0.138
O  0.231  0.134  0.176
O  0.399  0.831  0.892
O  0.413  0.592  0.516
O  0.592  0.413  0.016
O  0.609  0.177  0.638
O  0.776  0.875  0.355
O  0.831  0.399  0.392
O  0.875  0.776  0.855

Largest 6 diffraction maxima, in order of rising 2θ, 2θ = 10–90°:
2theta, intensity
18.32, 30.7
27.32, 100.0
30.11, 59.7
34.94, 50.1
35.52, 39.2
57.05, 25.3

10.
Computed powder XRD pattern
Compound: ScRu2
Radiation: Cu Ka
Structure: the GGA-PBE geometry in the Materials Project
Peak positions follow from Bragg's law for the DFT cell and can differ from measured ones.

Structural model:
a = 5.156 Å, b = 5.156 Å, c = 8.629 Å
α = 90.00°, β = 90.00°, γ = 120.00°
Fractional coordinates of all 12 atoms:
Sc  0.333  0.667  0.068
Sc  0.333  0.667  0.432
Sc  0.667  0.333  0.568
Sc  0.667  0.333  0.932
Ru  0.000  0.000  0.000
Ru  0.000  0.000  0.500
Ru  0.172  0.344  0.750
Ru  0.172  0.828  0.750
Ru  0.344  0.172  0.250
Ru  0.656  0.828  0.750
Ru  0.828  0.172  0.250
Ru  0.828  0.656  0.250

Largest 6 diffraction maxima, in order of rising 2θ, 2θ = 10–90°:
2theta, intensity
19.88, 28.4
37.18, 35.1
40.77, 64.4
41.81, 100.0
45.76, 34.7
88.31, 24.1